# TaHgPb3
Simulated powder X-ray diffraction pattern, Cu Kα (weighted mean of Kα1 and Kα2). Input: a PBE-relaxed structure.

Most intense lines, 2θ from 15° to 90°, by intensity:
2θ (°)	I (rel.)
32.35	100
27.92	79
46.40	75
55.02	38
77.05	35
86.05	27
57.69	26
16.01	18

a b c (Å): 5.535 5.535 5.535
angles (deg): 90.00 90.00 90.00
Sites, in units of the cell vectors:
Ta 0.000 0.000 0.000
Hg 0.500 0.500 0.500
Pb 0.000 0.000 0.500
Pb 0.000 0.500 0.000
Pb 0.500 0.000 0.000


# Ba3Cd2InAg6
Simulated powder X-ray diffraction pattern, Cu Kα (weighted mean of Kα1 and Kα2). Input: a PBE-relaxed structure.

Most intense lines, 2θ from 15° to 90°, by intensity:
2θ (°)	I (rel.)
32.80	100
33.29	73
36.92	59
27.03	45
28.76	32
55.73	32
41.88	25
51.87	25

a b c (Å): 6.597 6.597 9.311
angles (deg): 90.00 90.00 120.00
Sites, in units of the cell vectors:
Ba 0.000 0.000 0.000
Ba 0.333 0.667 0.623
Ba 0.667 0.333 0.377
Cd 0.333 0.667 0.022
Cd 0.667 0.333 0.978
In 0.000 0.000 0.500
Ag 0.187 0.374 0.286
Ag 0.187 0.813 0.286
Ag 0.374 0.187 0.714
Ag 0.626 0.813 0.286
Ag 0.813 0.187 0.714
Ag 0.813 0.626 0.714


# NaV3Cd
Simulated powder X-ray diffraction pattern, Cu Kα (weighted mean of Kα1 and Kα2). Input: a PBE-relaxed structure.

Most intense lines, 2θ from 15° to 90°, by intensity:
2θ (°)	I (rel.)
17.09	100
34.57	72
38.81	49
49.70	48
24.26	34
52.94	24
83.28	19
61.95	16

a b c (Å): 5.189 5.189 5.189
angles (deg): 90.00 90.00 90.00
Sites, in units of the cell vectors:
Na 0.000 0.000 0.000
V 0.000 0.500 0.500
V 0.500 0.000 0.500
V 0.500 0.500 0.000
Cd 0.500 0.500 0.500


# Dy3BiH2
Simulated powder X-ray diffraction pattern, Cu Kα (weighted mean of Kα1 and Kα2). Input: a PBE-relaxed structure.

Most intense lines, 2θ from 15° to 90°, by intensity:
2θ (°)	I (rel.)
31.81	100
25.64	67
38.56	60
32.13	57
30.67	41
45.63	36
28.79	36
58.04	33

a b c (Å): 11.226 11.226 6.207
angles (deg): 103.93 103.93 20.40
Sites, in units of the cell vectors:
Dy 0.039 0.039 0.277
Dy 0.230 0.230 0.207
Dy 0.400 0.400 0.144
Dy 0.600 0.600 0.856
Dy 0.770 0.770 0.793
Dy 0.961 0.961 0.723
Bi 0.349 0.349 0.587
Bi 0.651 0.651 0.413
H 0.059 0.059 0.933
H 0.292 0.292 0.982
H 0.708 0.708 0.018
H 0.941 0.941 0.067